# 1
This entry pairs a crystal structure of Hf8TlP2 with its computed XRD peak list. Radiation: Cu Kα, 1.54184 Å. Structure: the PBE geometry in Alexandria.
No peak broadening, texture or thermal motion is included.

Structure:
```
Hf8TlP2
1.0
8.1878 -2.8149 0.0000
8.1878 2.8149 0.0000
-1.6423 0.0000 4.9567
Hf Tl P
8 1 2
direct
0.1527 0.6539 0.9012
0.2244 0.2244 0.7246
0.3461 0.8473 0.0988
0.3983 0.3983 0.3962
0.6017 0.6017 0.6038
0.6539 0.1527 0.9012
0.7756 0.7756 0.2754
0.8473 0.3461 0.0988
0.0000 0.0000 0.5000
0.2369 0.2369 0.2369
0.7631 0.7631 0.7631
```

Peak list (8 most intense, 10° ≤ 2θ ≤ 90°, in order of falling intensity)
36.73°, rel. 100
34.35°, rel. 67
32.90°, rel. 65
32.78°, rel. 29
34.62°, rel. 21
63.08°, rel. 21
39.53°, rel. 20
57.32°, rel. 20

---

# 2
This entry pairs a crystal structure of HfU2P3 with its computed XRD peak list. Radiation: Cu Kα, 1.54184 Å. Structure: the PBE geometry in Alexandria.
No peak broadening, texture or thermal motion is included.

Structure:
```
HfU2P3
1.0
-1.9305 1.9305 8.1186
1.9305 -1.9305 8.1186
1.9305 1.9305 -8.1186
Hf U P
1 2 3
direct
0.0000 0.0000 0.0000
0.3338 0.3338 0.0000
0.6662 0.6662 0.0000
0.1617 0.1617 0.0000
0.5000 0.5000 0.0000
0.8383 0.8383 0.0000
```

Peak list (8 most intense, 10° ≤ 2θ ≤ 90°, in order of falling intensity)
28.40°, rel. 100
32.80°, rel. 63
47.30°, rel. 46
55.89°, rel. 33
33.10°, rel. 31
58.75°, rel. 24
47.07°, rel. 23
87.69°, rel. 17

---

# 3
This entry pairs a crystal structure of Hf2VP2 with its computed XRD peak list. Radiation: Cu Kα, 1.54184 Å. Structure: the PBE geometry in Alexandria.
No peak broadening, texture or thermal motion is included.

Structure:
```
Hf2VP2
1.0
6.5417 0.0000 0.0000
0.0000 6.5417 0.0000
0.0000 0.0000 3.6677
Hf V P
4 2 4
direct
0.1653 0.3347 0.0000
0.3347 0.8347 0.0000
0.6653 0.1653 0.0000
0.8347 0.6653 0.0000
0.0000 0.0000 0.5000
0.5000 0.5000 0.5000
0.1418 0.6418 0.5000
0.3582 0.1418 0.5000
0.6418 0.8582 0.5000
0.8582 0.3582 0.5000
```

Peak list (8 most intense, 10° ≤ 2θ ≤ 90°, in order of falling intensity)
39.40°, rel. 100
30.56°, rel. 48
36.82°, rel. 27
43.76°, rel. 26
24.27°, rel. 25
63.93°, rel. 19
59.49°, rel. 15
65.69°, rel. 14

---

# 4
This entry pairs a crystal structure of YHfP with its computed XRD peak list. Radiation: Cu Kα, 1.54184 Å. Structure: the PBE geometry in Alexandria.
No peak broadening, texture or thermal motion is included.

Structure:
```
YHfP
1.0
-2.0048 2.0048 7.7179
2.0048 -2.0048 7.7179
2.0048 2.0048 -7.7179
Y Hf P
2 2 2
direct
0.1783 0.1783 0.0000
0.8217 0.8217 0.0000
0.0000 0.5000 0.5000
0.5000 0.0000 0.5000
0.3725 0.3725 0.0000
0.6275 0.6275 0.0000
```

Peak list (8 most intense, 10° ≤ 2θ ≤ 90°, in order of falling intensity)
33.68°, rel. 100
11.47°, rel. 78
39.44°, rel. 61
45.23°, rel. 35
34.87°, rel. 28
58.35°, rel. 26
57.80°, rel. 20
76.07°, rel. 19

---

# 5
This entry pairs a crystal structure of Hf4ZnP with its computed XRD peak list. Radiation: Cu Kα, 1.54184 Å. Structure: the PBE geometry in Alexandria.
No peak broadening, texture or thermal motion is included.

Structure:
```
Hf4ZnP
1.0
6.5316 0.0000 0.0000
0.0000 6.5316 0.0000
0.0000 0.0000 5.2488
Hf Zn P
8 2 2
direct
0.1490 0.3375 0.0000
0.1490 0.6625 0.5000
0.3375 0.1490 0.5000
0.3375 0.8510 0.0000
0.6625 0.1490 0.0000
0.6625 0.8510 0.5000
0.8510 0.3375 0.5000
0.8510 0.6625 0.0000
0.5000 0.5000 0.2500
0.5000 0.5000 0.7500
0.0000 0.0000 0.2500
0.0000 0.0000 0.7500
```

Peak list (8 most intense, 10° ≤ 2θ ≤ 90°, in order of falling intensity)
35.16°, rel. 100
43.83°, rel. 22
61.81°, rel. 20
34.17°, rel. 17
70.98°, rel. 13
39.49°, rel. 13
81.44°, rel. 12
44.28°, rel. 12

---

# 6
This entry pairs a crystal structure of HfPa6 with its computed XRD peak list. Radiation: Cu Kα, 1.54184 Å. Structure: the PBE geometry in Alexandria.
No peak broadening, texture or thermal motion is included.

Structure:
```
HfPa6
1.0
6.7645 3.9055 1.0863
-6.7645 3.9055 1.0863
0.0000 -7.8110 1.0863
Hf Pa
1 6
direct
0.0000 0.0000 0.0000
0.0814 0.2658 0.5152
0.2658 0.5152 0.0814
0.4848 0.9187 0.7342
0.5152 0.0814 0.2658
0.7342 0.4848 0.9186
0.9186 0.7342 0.4848
```

Peak list (8 most intense, 10° ≤ 2θ ≤ 90°, in order of falling intensity)
34.16°, rel. 100
35.10°, rel. 85
49.79°, rel. 25
62.37°, rel. 19
60.55°, rel. 15
64.04°, rel. 10
62.97°, rel. 9
58.95°, rel. 8

---

# 7
This entry pairs a crystal structure of Hf5Pa with its computed XRD peak list. Radiation: Cu Kα, 1.54184 Å. Structure: the PBE geometry in Alexandria.
No peak broadening, texture or thermal motion is included.

Structure:
```
Hf5Pa
1.0
6.1219 0.0000 0.0000
-2.8295 5.4314 0.0000
-0.9087 -1.4676 8.2720
Hf Pa
10 2
direct
0.0611 0.3116 0.2824
0.1117 0.8564 0.3955
0.2285 0.4859 0.9464
0.2739 0.0295 0.0537
0.3908 0.6386 0.6061
0.6092 0.3614 0.3939
0.7261 0.9705 0.9463
0.7715 0.5141 0.0536
0.8883 0.1436 0.6045
0.9389 0.6884 0.7176
0.4422 0.1926 0.7252
0.5578 0.8074 0.2748
```

Peak list (8 most intense, 10° ≤ 2θ ≤ 90°, in order of falling intensity)
36.69°, rel. 100
36.84°, rel. 90
37.12°, rel. 72
34.26°, rel. 71
62.95°, rel. 30
32.78°, rel. 30
48.14°, rel. 21
32.47°, rel. 19

---

# 8
This entry pairs a crystal structure of HfPa5 with its computed XRD peak list. Radiation: Cu Kα, 1.54184 Å. Structure: the PBE geometry in Alexandria.
No peak broadening, texture or thermal motion is included.

Structure:
```
HfPa5
1.0
6.0597 -1.6065 0.0000
6.0597 1.6065 0.0000
-2.5033 0.0000 7.4931
Hf Pa
1 5
direct
0.0000 0.0000 0.0000
0.0005 0.0005 0.5020
0.3296 0.3296 0.1680
0.3306 0.3306 0.6639
0.6690 0.6690 0.3359
0.6718 0.6718 0.8351
```

Peak list (8 most intense, 10° ≤ 2θ ≤ 90°, in order of falling intensity)
36.03°, rel. 100
36.50°, rel. 96
32.40°, rel. 66
32.72°, rel. 64
45.95°, rel. 26
59.86°, rel. 24
60.25°, rel. 23
47.46°, rel. 23

---

# 9
This entry pairs a crystal structure of HfPa4 with its computed XRD peak list. Radiation: Cu Kα, 1.54184 Å. Structure: the PBE geometry in Alexandria.
No peak broadening, texture or thermal motion is included.

Structure:
```
HfPa4
1.0
5.6839 0.0000 0.0000
-2.7311 8.1531 0.0000
-1.9334 -3.3151 10.6225
Hf Pa
4 16
direct
0.0851 0.3460 0.2748
0.2884 0.0386 0.8269
0.7116 0.9614 0.1731
0.9149 0.6540 0.7252
0.0999 0.8533 0.5286
0.1006 0.3470 0.7736
0.1025 0.8471 0.0248
0.3002 0.0495 0.3210
0.3039 0.5538 0.0790
0.3065 0.5513 0.5743
0.4936 0.2503 0.1248
0.4974 0.7487 0.3705
0.5026 0.2513 0.6295
0.5064 0.7497 0.8752
0.6935 0.4487 0.4257
0.6961 0.4462 0.9210
0.6998 0.9505 0.6790
0.8975 0.1529 0.9752
0.8994 0.6530 0.2264
0.9001 0.1467 0.4714
```

Peak list (8 most intense, 10° ≤ 2θ ≤ 90°, in order of falling intensity)
33.62°, rel. 100
38.63°, rel. 17
39.11°, rel. 17
39.30°, rel. 16
66.73°, rel. 14
67.38°, rel. 14
67.65°, rel. 14
70.67°, rel. 12

---

# 10
This entry pairs a crystal structure of HfPa2Pd9 with its computed XRD peak list. Radiation: Cu Kα, 1.54184 Å. Structure: the PBE geometry in Alexandria.
No peak broadening, texture or thermal motion is included.

Structure:
```
HfPa2Pd9
1.0
4.1333 0.0000 0.0000
0.0000 4.1333 0.0000
0.0000 0.0000 12.2766
Hf Pa Pd
1 2 9
direct
0.0000 0.0000 0.0000
0.0000 0.0000 0.3283
0.0000 0.0000 0.6717
0.0000 0.5000 0.1589
0.0000 0.5000 0.5000
0.0000 0.5000 0.8411
0.5000 0.0000 0.1589
0.5000 0.0000 0.5000
0.5000 0.0000 0.8411
0.5000 0.5000 0.0000
0.5000 0.5000 0.3288
0.5000 0.5000 0.6712
```

Peak list (8 most intense, 10° ≤ 2θ ≤ 90°, in order of falling intensity)
37.83°, rel. 100
43.81°, rel. 33
76.51°, rel. 25
64.04°, rel. 21
44.27°, rel. 16
77.17°, rel. 11
63.68°, rel. 11
80.82°, rel. 11

---

# 11
This entry pairs a crystal structure of HfPa2Pt9 with its computed XRD peak list. Radiation: Cu Kα, 1.54184 Å. Structure: the PBE geometry in Alexandria.
No peak broadening, texture or thermal motion is included.

Structure:
```
HfPa2Pt9
1.0
4.1332 0.0000 0.0000
0.0000 4.1332 0.0000
0.0000 0.0000 12.4268
Hf Pa Pt
1 2 9
direct
0.0000 0.0000 0.0000
0.0000 0.0000 0.3300
0.0000 0.0000 0.6700
0.0000 0.5000 0.1579
0.0000 0.5000 0.5000
0.0000 0.5000 0.8421
0.5000 0.0000 0.1579
0.5000 0.0000 0.5000
0.5000 0.0000 0.8421
0.5000 0.5000 0.0000
0.5000 0.5000 0.3257
0.5000 0.5000 0.6743
```

Peak list (8 most intense, 10° ≤ 2θ ≤ 90°, in order of falling intensity)
37.67°, rel. 100
43.81°, rel. 33
63.63°, rel. 32
76.41°, rel. 26
43.71°, rel. 16
76.27°, rel. 12
80.43°, rel. 11
68.39°, rel. 1

---

# 12
This entry pairs a crystal structure of Hf3PaPt12 with its computed XRD peak list. Radiation: Cu Kα, 1.54184 Å. Structure: the PBE geometry in Alexandria.
No peak broadening, texture or thermal motion is included.

Structure:
```
Hf3PaPt12
1.0
4.0681 0.0000 0.0000
0.0000 4.0681 0.0000
0.0000 0.0000 16.3002
Hf Pa Pt
3 1 12
direct
0.0000 0.0000 0.0000
0.0000 0.0000 0.2450
0.0000 0.0000 0.7550
0.0000 0.0000 0.5000
0.0000 0.5000 0.1225
0.0000 0.5000 0.3673
0.0000 0.5000 0.6327
0.0000 0.5000 0.8775
0.5000 0.0000 0.1225
0.5000 0.0000 0.3673
0.5000 0.0000 0.6327
0.5000 0.0000 0.8775
0.5000 0.5000 0.0000
0.5000 0.5000 0.2444
0.5000 0.5000 0.5000
0.5000 0.5000 0.7556
```

Peak list (8 most intense, 10° ≤ 2θ ≤ 90°, in order of falling intensity)
38.30°, rel. 100
44.52°, rel. 49
64.78°, rel. 32
77.87°, rel. 26
77.75°, rel. 12
82.00°, rel. 11
35.30°, rel. 1
84.24°, rel. 1

---

# 13
This entry pairs a crystal structure of HfPaS4 with its computed XRD peak list. Radiation: Cu Kα, 1.54184 Å. Structure: the PBE geometry in Alexandria.
No peak broadening, texture or thermal motion is included.

Structure:
```
HfPaS4
1.0
6.6651 0.0000 0.0000
0.0000 3.8394 0.0000
-2.0377 0.0000 6.5822
Hf Pa S
1 1 4
direct
0.0000 0.0000 0.0000
0.5000 0.5000 0.0000
0.2196 0.5000 0.2131
0.2479 0.0000 0.7803
0.7521 0.0000 0.2197
0.7804 0.5000 0.7869
```

Peak list (8 most intense, 10° ≤ 2θ ≤ 90°, in order of falling intensity)
13.45°, rel. 100
27.12°, rel. 40
32.24°, rel. 38
47.31°, rel. 19
32.85°, rel. 18
27.27°, rel. 16
41.69°, rel. 15
35.53°, rel. 14

---

# 14
This entry pairs a crystal structure of HfPaS6 with its computed XRD peak list. Radiation: Cu Kα, 1.54184 Å. Structure: the PBE geometry in Alexandria.
No peak broadening, texture or thermal motion is included.

Structure:
```
HfPaS6
1.0
4.7397 0.0000 0.0000
1.1144 5.7588 0.0000
0.3450 1.7457 6.4659
Hf Pa S
1 1 6
direct
0.0000 0.0000 0.0000
0.5000 0.5000 0.5000
0.0106 0.3976 0.7396
0.3552 0.7596 0.7913
0.3686 0.9808 0.2632
0.6314 0.0192 0.7368
0.6448 0.2404 0.2087
0.9894 0.6024 0.2604
```

Peak list (8 most intense, 10° ≤ 2θ ≤ 90°, in order of falling intensity)
23.55°, rel. 100
18.13°, rel. 89
23.67°, rel. 57
22.56°, rel. 46
32.39°, rel. 39
40.17°, rel. 37
35.86°, rel. 35
40.36°, rel. 27